Calculated PXRD pattern
Compound: NpHS2
Radiation: a wavelength of 1.5418 Å
Structure: DFT lattice parameters and positions (PBE)

Structural model:
a = 5.3507 Å, b = 3.7618 Å, c = 6.8865 Å
α = 90.00°, β = 109.51°, γ = 90.00°
Space group P2_1/m (No. 11)
Symmetry-distinct sites (fractional):
1 Np 0.1378 0.2500 0.2821 x2
2 H 0.0605 0.2500 0.7561 x2
3 S 0.2747 0.7500 0.0642 x2
4 S 0.2966 0.7500 0.5860 x2

Peak list (6 most intense, 10 to 80 degrees two-theta, by angle)
hkl 1 0 0, d = 5.043 Å, 2θ 17.59, rel. 39; hkl 1 0 -1, d = 4.843 Å, 2θ 18.32, rel. 39; hkl 1 0 1, d = 3.462 Å, 2θ 25.74, rel. 33; hkl 0 1 1, d = 3.253 Å, 2θ 27.42, rel. 100; hkl 1 1 -1, d = 2.971 Å, 2θ 30.08, rel. 38; hkl 2 1 0, d = 2.095 Å, 2θ 43.19, rel. 29

=====

Calculated PXRD pattern
Compound: NpTl2HS4
Radiation: a wavelength of 1.5418 Å
Structure: DFT lattice parameters and positions (PBE)

Structural model:
a = 6.9231 Å, b = 3.8297 Å, c = 7.8455 Å
α = 90.00°, β = 110.73°, γ = 90.00°
Space group P2/m (No. 10)
Symmetry-distinct sites (fractional):
1 Np 0.0000 0.0000 0.0000 x1
2 Tl 0.0000 0.5000 0.5000 x1
3 Tl 0.5000 0.0000 0.5000 x1
4 H 0.5000 0.5000 0.0000 x1
5 S 0.2050 0.5000 0.2144 x2
6 S 0.2754 0.0000 0.8489 x2

Peak list (6 most intense, 10 to 80 degrees two-theta, by angle)
hkl 1 0 0, d = 6.475 Å, 2θ 13.68, rel. 37; hkl 0 0 2, d = 3.669 Å, 2θ 24.26, rel. 53; hkl 2 0 0, d = 3.234 Å, 2θ 27.58, rel. 99; hkl 2 0 -2, d = 3.014 Å, 2θ 29.64, rel. 60; hkl 1 1 1, d = 2.823 Å, 2θ 31.70, rel. 100; hkl 1 1 -3, d = 2.159 Å, 2θ 41.84, rel. 42

=====

Calculated PXRD pattern
Compound: Np2Sb2H
Radiation: a wavelength of 1.5418 Å
Structure: DFT lattice parameters and positions (PBE)

Structural model:
a = 4.3644 Å, b = 4.3644 Å, c = 23.0265 Å
α = 90.00°, β = 90.00°, γ = 90.00°
Space group I4_1/amd (No. 141, origin choice 2)
Symmetry-distinct sites (fractional):
1 Np 0.0000 0.2500 0.0674 x8
2 Sb 0.0000 0.2500 0.2018 x8
3 H 0.0000 0.2500 0.3750 x4

Peak list (6 most intense, 10 to 80 degrees two-theta, by angle)
hkl 1 0 5, d = 3.168 Å, 2θ 28.17, rel. 20; hkl 1 1 2, d = 2.981 Å, 2θ 29.98, rel. 100; hkl 0 0 8, d = 2.878 Å, 2θ 31.07, rel. 39; hkl 1 1 6, d = 2.405 Å, 2θ 37.39, rel. 59; hkl 2 0 0, d = 2.182 Å, 2θ 41.38, rel. 45; hkl 2 0 8, d = 1.739 Å, 2θ 52.63, rel. 36